Calculated powder XRD pattern
Compound: SrPrEuNbO6
Radiation: Cu Kα, 1.54184 Å
Structure: a PBE-relaxed structure
Neutral-atom scattering factors, no anomalous dispersion.

Cell: 6.1134 6.1134 6.1134 Å, 60.00 60.00 60.00°
Fractional positions:
Sr: 0.0000 0.0000 0.0000
Pr: 0.7500 0.7500 0.7500
Eu: 0.5000 0.5000 0.5000
Nb: 0.2500 0.2500 0.2500
O: 0.0179 0.0179 0.4821
O: 0.0179 0.4821 0.0179
O: 0.0179 0.4821 0.4821
O: 0.4821 0.0179 0.0179
O: 0.4821 0.0179 0.4821
O: 0.4821 0.4821 0.0179

Top 10 peaks for 5 to 70 degrees two-theta, low angle first:
- 2θ 17.77, I = 5
- 2θ 29.22, I = 100
- 2θ 34.40, I = 4
- 2θ 35.98, I = 2
- 2θ 41.79, I = 31
- 2θ 45.74, I = 2
- 2θ 51.80, I = 41
- 2θ 55.20, I = 1
- 2θ 60.58, I = 19
- 2θ 68.66, I = 18



Calculated powder XRD pattern
Compound: SrPrEuNbO6
Radiation: Cu Kα, 1.54184 Å
Structure: a PBE-relaxed structure
Neutral-atom scattering factors, no anomalous dispersion.

Cell: 8.5434 8.5531 8.5559 Å, 90.00 90.00 90.00°
Fractional positions:
Sr: 0.2500 0.2500 0.2500
Sr: 0.2500 0.7500 0.2500
Sr: 0.7500 0.2500 0.7500
Sr: 0.7500 0.7500 0.7500
Pr: 0.0000 0.0000 0.0000
Pr: 0.0000 0.5000 0.5000
Pr: 0.5000 0.0000 0.5000
Pr: 0.5000 0.5000 0.0000
Eu: 0.2500 0.2500 0.7500
Eu: 0.2500 0.7500 0.7500
Eu: 0.7500 0.2500 0.2500
Eu: 0.7500 0.7500 0.2500
Nb: 0.0000 0.0000 0.5000
Nb: 0.0000 0.5000 0.0000
Nb: 0.5000 0.0000 0.0000
Nb: 0.5000 0.5000 0.5000
O: 0.0384 0.2289 0.4508
O: 0.0384 0.2711 0.0492
O: 0.0511 0.0402 0.7288
O: 0.0511 0.4598 0.7712
O: 0.2287 0.5492 0.0387
O: 0.2287 0.9508 0.4613
O: 0.2713 0.5492 0.4613
O: 0.2713 0.9508 0.0387
O: 0.4489 0.0402 0.7712
O: 0.4489 0.4598 0.7288
O: 0.4616 0.2289 0.0492
O: 0.4616 0.2711 0.4508
O: 0.5384 0.7289 0.5492
O: 0.5384 0.7711 0.9508
O: 0.5511 0.5402 0.2712
O: 0.5511 0.9598 0.2288
O: 0.7287 0.0492 0.9613
O: 0.7287 0.4508 0.5387
O: 0.7713 0.0492 0.5387
O: 0.7713 0.4508 0.9613
O: 0.9489 0.5402 0.2288
O: 0.9489 0.9598 0.2712
O: 0.9616 0.7289 0.9508
O: 0.9616 0.7711 0.5492

Top 10 peaks for 5 to 70 degrees two-theta, low angle first:
- 2θ 14.65, I = 3
- 2θ 29.55, I = 100
- 2θ 33.12, I = 2
- 2θ 34.80, I = 2
- 2θ 39.44, I = 2
- 2θ 42.28, I = 27
- 2θ 52.42, I = 45
- 2θ 61.33, I = 16
- 2θ 69.50, I = 12
- 2θ 69.59, I = 6



Calculated powder XRD pattern
Compound: PrEuNbZnO6
Radiation: Cu Kα, 1.54184 Å
Structure: a PBE-relaxed structure
Neutral-atom scattering factors, no anomalous dispersion.

Cell: 5.7028 5.7028 5.7028 Å, 60.00 60.00 60.00°
Fractional positions:
Pr: 0.0000 0.0000 0.0000
Eu: 0.5000 0.5000 0.5000
Nb: 0.2500 0.2500 0.2500
Zn: 0.7500 0.7500 0.7500
O: 0.0030 0.0030 0.4970
O: 0.0030 0.4970 0.0030
O: 0.0030 0.4970 0.4970
O: 0.4970 0.0030 0.0030
O: 0.4970 0.0030 0.4970
O: 0.4970 0.4970 0.0030

Top 9 peaks for 5 to 70 degrees two-theta, low angle first:
- 2θ 19.06, I = 1
- 2θ 22.04, I = 5
- 2θ 31.37, I = 100
- 2θ 38.67, I = 10
- 2θ 44.96, I = 31
- 2θ 50.62, I = 3
- 2θ 55.85, I = 39
- 2θ 65.47, I = 19
- 2θ 69.99, I = 2



Q: Which formula does entry 1 have?
A: SrPrEuNbO6



Q: Which formula does entry 2 have?
A: SrPrEuNbO6